# La8SbRu2
Computed powder diffraction line list, λ = 1.5418 Å (Cu Kα). Input: the GGA-PBE geometry in Alexandria.

Peak list (12 most intense, 2θ = 10–90°, low angle first)
29.16 deg, d 3.062, intensity 61, (2 0 1); 30.13 deg, d 2.966, intensity 88, (0 4 1); 32.14 deg, d 2.785, intensity 63, (3 1 -1); 32.46 deg, d 2.758, intensity 41, (1 1 -2); 32.65 deg, d 2.743, intensity 31, (0 0 2); 32.78 deg, d 2.732, intensity 100, (2 4 0); 35.11 deg, d 2.556, intensity 23, (0 2 2); 36.20 deg, d 2.482, intensity 29, (1 5 -1); 36.58 deg, d 2.456, intensity 28, (3 3 0); 50.54 deg, d 1.806, intensity 36, (2 4 2); 54.08 deg, d 1.696, intensity 22, (4 4 -2); 60.61 deg, d 1.528, intensity 24, (2 8 1)

Cell and atoms:
```
data_La8SbRu2
_symmetry_space_group_name_H-M 'C 1 2/m 1'
_symmetry_Int_Tables_number 12
_symmetry_space_group_name_Hall '-C 2y'
_cell_length_a 8.894
_cell_length_b 14.103
_cell_length_c 5.644
_cell_angle_alpha 90.00
_cell_angle_beta 103.62
_cell_angle_gamma 90.00
loop_
_atom_site_label
_atom_site_fract_x
_atom_site_fract_y
_atom_site_fract_z
La1 0.000 0.248 0.000
La2 0.103 0.500 0.801
La3 0.203 0.124 0.550
Sb1 0.000 0.000 0.000
Ru1 0.000 0.287 0.500
```